Record 1
This entry pairs a crystal structure of SrCa3Sn4O12 with its calculated powder XRD pattern. Radiation: copper Kα. Structure: a crystal structure in the Materials Project, relaxed with PBE.
Kinematic intensities with the Lorentz-polarization factor, no thermal factor.

Cell: 5.638 8.051 5.768 Å, 90.00 90.03 90.00°
Space group Pm (No. 6)
One atom of each set of equivalent atoms:
1 Sr 0.000 0.000 0.000 (multiplicity 1)
2 Ca 0.021 0.500 0.906 (multiplicity 1)
3 Ca 0.502 0.500 0.410 (multiplicity 1)
4 Ca 0.524 0.000 0.508 (multiplicity 1)
5 Sn 0.010 0.252 0.456 (multiplicity 2)
6 Sn 0.511 0.253 0.958 (multiplicity 2)
7 O 0.114 0.000 0.436 (multiplicity 1)
8 O 0.209 0.305 0.158 (multiplicity 2)
9 O 0.310 0.305 0.661 (multiplicity 2)
10 O 0.430 0.000 0.918 (multiplicity 1)
11 O 0.615 0.500 0.000 (multiplicity 1)
12 O 0.706 0.199 0.259 (multiplicity 2)
13 O 0.806 0.206 0.749 (multiplicity 2)
14 O 0.909 0.500 0.495 (multiplicity 1)

Main lines, low angle first (2θ from 10° to 90°):
d/Å, 2theta, intensity, hkl
4.030, 22.06, 45.2, 1 0 -1
2.884, 31.01, 24.7, 0 0 2
2.849, 31.40, 100.0, 1 2 1
2.819, 31.74, 23.1, 2 0 0
2.015, 44.99, 42.4, 0 4 0
1.802, 50.66, 16.5, 2 2 2
1.658, 55.41, 19.1, 1 2 3
1.651, 55.69, 11.9, 0 4 2
1.638, 56.15, 11.7, 2 4 0
1.633, 56.33, 25.3, 3 2 1
1.424, 65.54, 15.1, 2 4 -2
1.273, 74.53, 9.3, 1 6 1

***

Record 2
This entry pairs a crystal structure of SrCaSn4O12 with its calculated powder XRD pattern. Radiation: copper Kα. Structure: a crystal structure in the Materials Project, relaxed with PBE.
Kinematic intensities with the Lorentz-polarization factor, no thermal factor.

Cell: 8.118 8.159 8.077 Å, 90.00 90.00 90.00°
Space group Amm2 (No. 38)
One atom of each set of equivalent atoms:
1 Sr 0.000 0.000 0.000 (multiplicity 2)
2 Ca 0.500 0.000 0.449 (multiplicity 2)
3 Sn 0.255 0.238 0.725 (multiplicity 8)
4 O 0.000 0.208 0.735 (multiplicity 4)
5 O 0.224 0.000 0.249 (multiplicity 4)
6 O 0.238 0.207 0.977 (multiplicity 8)
7 O 0.308 0.000 0.667 (multiplicity 4)
8 O 0.500 0.204 0.253 (multiplicity 4)

Main lines, low angle first (2θ from 10° to 90°):
d/Å, 2theta, intensity, hkl
4.687, 18.93, 22.1, 1 1 1
4.079, 21.79, 31.8, 0 2 0
4.059, 21.90, 33.7, 2 0 0
4.039, 22.01, 34.3, 0 0 2
2.874, 31.12, 100.0, 2 2 0
2.863, 31.24, 45.4, 2 0 2
2.030, 44.65, 17.9, 4 0 0
2.019, 44.89, 16.5, 0 0 4
1.809, 50.45, 16.5, 0 2 4
1.661, 55.30, 22.3, 2 4 2
1.657, 55.45, 22.1, 4 2 2
1.653, 55.60, 21.2, 2 2 4

***

Record 3
This entry pairs a crystal structure of Ca2TaSnO6 with its calculated powder XRD pattern. Radiation: copper Kα. Structure: a crystal structure in the Materials Project, relaxed with PBE.
Kinematic intensities with the Lorentz-polarization factor, no thermal factor.

Cell: 5.669 7.987 5.902 Å, 90.00 90.32 90.00°
Space group P2_1/m (No. 11)
One atom of each set of equivalent atoms:
1 Ca 0.011 0.250 0.051 (multiplicity 2)
2 Ca 0.487 0.250 0.557 (multiplicity 2)
3 Ta 0.000 0.000 0.500 (multiplicity 2)
4 Sn 0.500 0.000 0.000 (multiplicity 2)
5 O 0.105 0.750 0.541 (multiplicity 2)
6 O 0.169 0.058 0.787 (multiplicity 4)
7 O 0.289 0.056 0.325 (multiplicity 4)
8 O 0.392 0.750 0.043 (multiplicity 2)

Main lines, low angle first (2θ from 10° to 90°):
d/Å, 2theta, intensity, hkl
4.100, 21.68, 28.5, 1 0 -1
4.078, 21.80, 28.3, 1 0 1
3.993, 22.26, 25.4, 0 2 0
2.951, 30.29, 26.7, 0 0 2
2.857, 31.31, 100.0, 1 2 1
2.835, 31.56, 23.9, 2 0 0
2.050, 44.18, 12.8, 2 0 -2
2.039, 44.44, 12.8, 2 0 2
1.997, 45.42, 13.2, 0 4 0
1.654, 55.57, 12.0, 0 4 2
1.643, 55.97, 13.4, 3 2 -1
1.639, 56.13, 11.8, 3 2 1

***

Record 4
This entry pairs a crystal structure of Ca4Sn5Te3O18 with its calculated powder XRD pattern. Radiation: copper Kα. Structure: a crystal structure in the Materials Project, relaxed with PBE.
Kinematic intensities with the Lorentz-polarization factor, no thermal factor.

Cell: 15.644 10.478 11.858 Å, 90.00 92.64 90.00°
Space group C2/c (No. 15)
One atom of each set of equivalent atoms:
1 Ca 0.027 0.168 0.026 (multiplicity 8)
2 Ca 0.225 0.344 0.875 (multiplicity 8)
3 Sn 0.000 0.340 0.750 (multiplicity 4)
4 Sn 0.124 0.356 0.260 (multiplicity 8)
5 Sn 0.181 0.220 0.588 (multiplicity 8)
6 Te 0.000 0.500 0.000 (multiplicity 4)
7 Te 0.161 0.011 0.831 (multiplicity 8)
8 O 0.057 0.339 0.401 (multiplicity 8)
9 O 0.063 0.350 0.912 (multiplicity 8)
10 O 0.074 0.492 0.675 (multiplicity 8)
11 O 0.078 0.020 0.443 (multiplicity 8)
12 O 0.102 0.224 0.728 (multiplicity 8)
13 O 0.126 0.211 0.158 (multiplicity 8)
14 O 0.226 0.124 0.928 (multiplicity 8)
15 O 0.234 0.142 0.334 (multiplicity 8)
16 O 0.235 0.429 0.328 (multiplicity 8)

Main lines, low angle first (2θ from 10° to 90°):
d/Å, 2theta, intensity, hkl
8.703, 10.16, 26.4, 1 1 0
4.664, 19.03, 48.6, 3 1 0
3.465, 25.71, 71.2, 2 2 2
3.077, 29.02, 30.1, 3 1 -3
3.001, 29.78, 35.6, 4 2 1
2.967, 30.12, 100.0, 1 3 -2
2.954, 30.25, 38.5, 3 1 3
2.935, 30.46, 35.6, 5 1 -1
2.812, 31.82, 65.1, 2 0 -4
2.782, 32.18, 21.5, 1 1 4
1.847, 49.34, 26.0, 0 2 6
1.813, 50.32, 20.5, 7 3 -2

***

Record 5
This entry pairs a crystal structure of CaZn4Sn4O8 with its calculated powder XRD pattern. Radiation: copper Kα. Structure: a crystal structure in the Materials Project, relaxed with PBE.
Kinematic intensities with the Lorentz-polarization factor, no thermal factor.

Cell: 3.481 9.283 9.719 Å, 76.69 79.70 89.34°
Space group P1 (No. 1)
One atom of each set of equivalent atoms:
1 Ca 0.000 0.000 0.000 (multiplicity 1)
2 Zn 0.112 0.479 0.803 (multiplicity 1)
3 Zn 0.305 0.332 0.434 (multiplicity 1)
4 Zn 0.726 0.693 0.549 (multiplicity 1)
5 Zn 0.924 0.560 0.166 (multiplicity 1)
6 Sn 0.352 0.837 0.287 (multiplicity 1)
7 Sn 0.459 0.270 0.112 (multiplicity 1)
8 Sn 0.581 0.792 0.844 (multiplicity 1)
9 Sn 0.675 0.193 0.706 (multiplicity 1)
10 O 0.005 0.393 0.013 (multiplicity 1)
11 O 0.009 0.733 0.990 (multiplicity 1)
12 O 0.190 0.348 0.667 (multiplicity 1)
13 O 0.244 0.790 0.508 (multiplicity 1)
14 O 0.396 0.444 0.229 (multiplicity 1)
15 O 0.628 0.596 0.762 (multiplicity 1)
16 O 0.783 0.239 0.484 (multiplicity 1)
17 O 0.840 0.688 0.320 (multiplicity 1)

Main lines, low angle first (2θ from 10° to 90°):
d/Å, 2theta, intensity, hkl
4.590, 19.34, 28.7, 0 1 2
4.515, 19.66, 66.7, 0 2 0
4.491, 19.77, 27.6, 0 2 1
3.792, 23.46, 26.7, 0 1 -2
3.035, 29.43, 26.4, 1 0 -1
2.846, 31.44, 82.9, 0 3 2
2.744, 32.64, 62.2, 0 1 -3
2.688, 33.34, 93.3, 1 2 0
2.657, 33.73, 77.5, 1 -2 1
2.554, 35.13, 100.0, 1 1 3
2.087, 43.37, 28.2, 0 4 -1
1.740, 52.59, 32.1, 2 0 1

***

Record 6
This entry pairs a crystal structure of SrCaO2 with its calculated powder XRD pattern. Radiation: copper Kα. Structure: a crystal structure in the Materials Project, relaxed with PBE.
Kinematic intensities with the Lorentz-polarization factor, no thermal factor.

Cell: 3.566 3.566 5.040 Å, 90.00 90.00 90.00°
Space group P4/mmm (No. 123)
One atom of each set of equivalent atoms:
1 Sr 0.000 0.000 0.000 (multiplicity 1)
2 Ca 0.500 0.500 0.500 (multiplicity 1)
3 O 0.000 0.000 0.500 (multiplicity 1)
4 O 0.500 0.500 0.000 (multiplicity 1)

Main lines, low angle first (2θ from 10° to 90°):
d/Å, 2theta, intensity, hkl
5.040, 17.60, 14.0, 0 0 1
3.566, 24.97, 12.7, 1 0 0
2.911, 30.71, 69.1, 1 0 1
2.521, 35.61, 100.0, 1 1 0
2.255, 39.98, 7.8, 1 1 1
2.058, 44.00, 6.0, 1 0 2
1.783, 51.25, 64.4, 2 0 0
1.520, 60.94, 31.5, 2 1 1
1.456, 63.96, 20.8, 2 0 2
1.261, 75.41, 9.3, 2 2 0
1.157, 83.59, 13.6, 3 0 1
1.127, 86.27, 25.9, 3 1 0

***

Record 7
This entry pairs a crystal structure of Sr3CaO4 with its calculated powder XRD pattern. Radiation: copper Kα. Structure: a crystal structure in the Materials Project, relaxed with PBE.
Kinematic intensities with the Lorentz-polarization factor, no thermal factor.

Cell: 5.129 5.129 5.129 Å, 90.00 90.00 90.00°
Space group Pm-3m (No. 221)
One atom of each set of equivalent atoms:
1 Sr 0.000 0.000 0.500 (multiplicity 3)
2 Ca 0.500 0.500 0.500 (multiplicity 1)
3 O 0.000 0.000 0.000 (multiplicity 1)
4 O 0.000 0.500 0.500 (multiplicity 3)

Main lines, low angle first (2θ from 10° to 90°):
d/Å, 2theta, intensity, hkl
5.129, 17.29, 8.0, 1 0 0
3.626, 24.55, 7.2, 1 1 0
2.961, 30.18, 80.6, 1 1 1
2.564, 34.99, 100.0, 2 0 0
2.294, 39.28, 4.5, 2 1 0
2.094, 43.21, 3.5, 2 1 1
1.813, 50.32, 66.1, 2 2 0
1.546, 59.81, 37.3, 3 1 1
1.481, 62.76, 21.7, 2 2 2
1.282, 73.92, 9.8, 4 0 0
1.177, 81.87, 16.2, 3 3 1
1.147, 84.48, 27.4, 4 2 0

***

Record 8
This entry pairs a crystal structure of SrCa2Te3O9 with its calculated powder XRD pattern. Radiation: copper Kα. Structure: a crystal structure in the Materials Project, relaxed with PBE.
Kinematic intensities with the Lorentz-polarization factor, no thermal factor.

Cell: 8.791 5.793 11.537 Å, 90.00 109.71 90.00°
Space group P2_1 (No. 4)
One atom of each set of equivalent atoms:
1 Sr 0.002 0.000 0.137 (multiplicity 2)
2 Ca 0.020 0.947 0.616 (multiplicity 2)
3 Ca 0.303 0.991 0.949 (multiplicity 2)
4 Te 0.256 0.498 0.171 (multiplicity 2)
5 Te 0.306 0.921 0.477 (multiplicity 2)
6 Te 0.333 0.437 0.754 (multiplicity 2)
7 O 0.073 0.425 0.215 (multiplicity 2)
8 O 0.161 0.154 0.487 (multiplicity 2)
9 O 0.162 0.239 0.755 (multiplicity 2)
10 O 0.166 0.730 0.051 (multiplicity 2)
11 O 0.184 0.684 0.516 (multiplicity 2)
12 O 0.210 0.256 0.053 (multiplicity 2)
13 O 0.240 0.708 0.793 (multiplicity 2)
14 O 0.262 0.883 0.307 (multiplicity 2)
15 O 0.467 0.330 0.911 (multiplicity 2)

Main lines, low angle first (2θ from 10° to 90°):
d/Å, 2theta, intensity, hkl
4.138, 21.48, 24.0, 2 0 0
4.069, 21.84, 32.1, 1 1 1
3.974, 22.37, 26.1, 1 1 -2
3.620, 24.59, 25.0, 0 0 3
3.295, 27.06, 100.0, 2 1 -2
3.273, 27.24, 85.3, 1 1 2
2.896, 30.87, 29.8, 0 2 0
2.884, 31.01, 18.2, 1 0 -4
2.759, 32.46, 14.3, 3 0 0
2.044, 44.32, 24.1, 1 2 -4
1.998, 45.40, 21.5, 3 2 0
1.739, 52.64, 16.9, 2 3 -2

***

Record 9
This entry pairs a crystal structure of Sr2CaTeO6 with its calculated powder XRD pattern. Radiation: copper Kα. Structure: a crystal structure in the Materials Project, relaxed with PBE.
Kinematic intensities with the Lorentz-polarization factor, no thermal factor.

Cell: 5.848 5.937 10.143 Å, 90.00 125.00 90.00°
Space group P2_1/c (No. 14)
One atom of each set of equivalent atoms:
1 Sr 0.241 0.039 0.251 (multiplicity 4)
2 Ca 0.500 0.000 0.000 (multiplicity 2)
3 Te 0.000 0.000 0.500 (multiplicity 2)
4 O 0.140 0.233 0.953 (multiplicity 4)
5 O 0.228 0.692 0.961 (multiplicity 4)
6 O 0.308 0.027 0.728 (multiplicity 4)

Main lines, low angle first (2θ from 10° to 90°):
d/Å, 2theta, intensity, hkl
4.830, 18.37, 16.4, 0 1 1
4.784, 18.55, 15.9, 1 0 0
2.968, 30.11, 23.8, 0 2 0
2.942, 30.38, 100.0, 1 1 -3
2.924, 30.57, 23.9, 2 0 -2
2.083, 43.44, 28.4, 2 2 -2
2.077, 43.57, 15.4, 0 0 4
1.709, 53.64, 16.5, 1 3 -3
1.702, 53.87, 10.7, 0 2 4
1.695, 54.11, 17.3, 2 0 2
1.690, 54.29, 16.9, 3 1 -5
1.107, 88.26, 8.9, 3 1 -9